(1)
Computed powder XRD pattern
Compound: AcPmY3
Radiation: a wavelength of 1.5418 Å
Structure: a crystal structure in Alexandria, relaxed with GGA-PBE
No peak broadening, texture or thermal motion is included.

The 8 most intense peaks (2θ = 10–80°), by intensity:
| 2theta | Rel. int. | h k l |
| --- | --- | --- |
| 30.03 | 1000 | 2 0 2 |
| 23.13 | 562 | 2 1 1 |
| 31.76 | 375 | 1 2 2 |
| 32.11 | 333 | 3 2 0 |
| 31.33 | 287 | 1 3 1 |
| 34.94 | 257 | 2 3 1 |
| 35.26 | 235 | 4 0 0 |
| 30.44 | 218 | 0 2 2 |

Atomic structure:
Cell lengths 10.187, 9.759, 7.336 Å; angles 90.00, 90.00, 90.00 degrees
Space group Ama2 (No. 40)
One atom of each set of equivalent atoms:
Ac: 0.250 0.077 0.000 x4
Pm: 0.000 0.000 0.680 x4
Y: 0.063 0.340 0.766 x8
Y: 0.250 0.188 0.445 x4

(2)
Computed powder XRD pattern
Compound: Pr4Sn6O19
Radiation: a wavelength of 1.5418 Å
Structure: a crystal structure in Alexandria, relaxed with GGA-PBE
No peak broadening, texture or thermal motion is included.

The 8 most intense peaks (2θ = 10–80°), by intensity:
| 2theta | Rel. int. | h k l |
| --- | --- | --- |
| 29.69 | 1000 | 3 1 0 |
| 22.89 | 678 | 2 1 1 |
| 35.29 | 561 | 3 2 1 |
| 48.80 | 503 | 4 1 3 |
| 58.16 | 304 | 6 0 0 |
| 52.68 | 265 | 5 2 1 |
| 32.59 | 247 | 2 2 2 |
| 46.76 | 201 | 4 2 2 |

Atomic structure:
Cell lengths 9.516, 9.516, 9.516 Å; angles 90.00, 90.00, 90.00 degrees
Space group I23 (No. 197)
One atom of each set of equivalent atoms:
Pr: 0.148 0.148 0.852 x8
Sn: 0.000 0.336 0.500 x12
O: 0.000 0.000 0.000 x2
O: 0.000 0.000 0.348 x12
O: 0.033 0.323 0.714 x24

(3)
Computed powder XRD pattern
Compound: SmDy12Th3
Radiation: a wavelength of 1.5418 Å
Structure: a crystal structure in Alexandria, relaxed with GGA-PBE
No peak broadening, texture or thermal motion is included.

The 8 most intense peaks (2θ = 10–80°), by intensity:
| 2theta | Rel. int. | h k l |
| --- | --- | --- |
| 30.83 | 1000 | 1 1 4 |
| 35.75 | 507 | 2 0 0 |
| 51.45 | 363 | 2 2 0 |
| 61.15 | 289 | 3 1 4 |
| 61.27 | 143 | 1 1 12 |
| 64.23 | 124 | 2 2 8 |
| 75.67 | 39 | 4 0 0 |
| 75.88 | 19 | 0 0 16 |

Atomic structure:
Cell lengths 5.027, 5.027, 20.062 Å; angles 90.00, 90.00, 90.00 degrees
Space group P4/mmm (No. 123)
One atom of each set of equivalent atoms:
Sm: 0.000 0.000 0.000 x1
Dy: 0.000 0.500 0.127 x4
Dy: 0.000 0.500 0.376 x4
Dy: 0.500 0.500 0.000 x1
Dy: 0.500 0.500 0.251 x2
Dy: 0.500 0.500 0.500 x1
Th: 0.000 0.000 0.251 x2
Th: 0.000 0.000 0.500 x1

(4)
Computed powder XRD pattern
Compound: SrLi3Pb2
Radiation: a wavelength of 1.5418 Å
Structure: a crystal structure in Alexandria, relaxed with GGA-PBE
No peak broadening, texture or thermal motion is included.

The 8 most intense peaks (2θ = 10–80°), by intensity:
| 2theta | Rel. int. | h k l |
| --- | --- | --- |
| 21.47 | 1000 | 1 0 1 |
| 35.95 | 645 | 1 1 0 |
| 27.92 | 642 | 1 0 3 |
| 32.61 | 568 | 1 0 4 |
| 44.32 | 283 | 1 1 4 |
| 64.34 | 219 | 1 1 8 |
| 62.54 | 215 | 2 1 4 |
| 25.06 | 204 | 0 0 4 |

Atomic structure:
Cell lengths 4.9958, 4.9958, 14.2161 Å; angles 90.00, 90.00, 120.00 degrees
Space group P6_3/mmc (No. 194)
One atom of each set of equivalent atoms:
Sr: 0.0000 0.0000 0.2500 x2
Li: 0.0000 0.0000 0.0000 x2
Li: 0.3333 0.6667 0.0825 x4
Pb: 0.3333 0.6667 0.6205 x4

(5)
Computed powder XRD pattern
Compound: AcPr2In2Ga2
Radiation: a wavelength of 1.5418 Å
Structure: a crystal structure in Alexandria, relaxed with GGA-PBE
No peak broadening, texture or thermal motion is included.

The 8 most intense peaks (2θ = 10–80°), by intensity:
| 2theta | Rel. int. | h k l |
| --- | --- | --- |
| 29.31 | 1000 | 1 0 7 |
| 38.34 | 667 | 1 1 0 |
| 31.26 | 461 | 0 1 8 |
| 48.98 | 242 | 0 2 7 |
| 58.22 | 241 | 1 1 15 |
| 22.03 | 235 | 1 0 1 |
| 63.85 | 217 | 2 1 7 |
| 50.27 | 123 | 2 0 8 |

Atomic structure:
Cell lengths 4.6954, 4.6954, 32.2176 Å; angles 90.00, 90.00, 120.00 degrees
Space group R-3m (No. 166, hexagonal axes)
One atom of each set of equivalent atoms:
Ac: 0.0000 0.0000 0.0000 x3
Pr: 0.0000 0.0000 0.1315 x6
In: 0.0000 0.0000 0.2660 x6
Ga: 0.0000 0.0000 0.4196 x6

(6)
Computed powder XRD pattern
Compound: K2CaAs2O7
Radiation: a wavelength of 1.5418 Å
Structure: a crystal structure in Alexandria, relaxed with GGA-PBE
No peak broadening, texture or thermal motion is included.

The 8 most intense peaks (2θ = 10–80°), by intensity:
| 2theta | Rel. int. | h k l |
| --- | --- | --- |
| 17.86 | 1000 | 1 1 0 |
| 30.23 | 981 | 2 1 2 |
| 28.39 | 952 | 1 1 -4 |
| 30.06 | 688 | 0 2 0 |
| 28.71 | 470 | 3 0 -2 |
| 27.06 | 429 | 2 0 -4 |
| 19.42 | 308 | 0 1 2 |
| 52.37 | 277 | 1 3 -4 |

Atomic structure:
Cell lengths 9.423, 5.945, 14.914 Å; angles 90.00, 106.49, 90.00 degrees
Space group P2_1/c (No. 14)
One atom of each set of equivalent atoms:
K: 0.026 0.248 0.118 x4
K: 0.466 0.231 0.166 x4
Ca: 0.268 0.231 0.863 x4
As: 0.173 0.744 0.696 x4
As: 0.318 0.710 0.029 x4
O: 0.009 0.242 0.810 x4
O: 0.163 0.707 0.573 x4
O: 0.260 0.505 0.229 x4
O: 0.268 0.514 0.750 x4
O: 0.288 0.067 0.502 x4
O: 0.288 0.625 0.433 x4
O: 0.475 0.738 0.617 x4